For Na5V2P3O15, a PBE+U-relaxed structure gives the theoretical powder diffraction line list in this record (Cu Ka).
No peak broadening, texture or thermal motion is included.

The 12 most intense peaks (10° ≤ 2θ ≤ 90°), in order of falling intensity:
d/Å  I/Imax  h k l
5.278  100  0 0 1
2.850  62  0 6 1
2.639  62  0 0 2
3.387  31  0 6 0
6.065  26  1 1 0
2.733  22  2 0 -1
3.965  20  1 1 1
2.712  17  2 0 1
3.033  17  2 2 0
3.998  16  1 1 -1
2.694  15  2 4 0
2.620  13  2 2 1

Structural model:
Lattice parameters (Å, degrees): 6.3554 20.3194 5.2782 90.00 90.50 90.00
Space group Cm (No. 8)
Inequivalent atoms, fractional coordinates:
Na 0.0000 0.0000 0.0000 (multiplicity 2)
Na 0.3237 0.0840 0.6000 (multiplicity 4)
Na 0.4220 0.2609 0.6307 (multiplicity 4)
V 0.1773 0.3488 0.1152 (multiplicity 4)
P 0.0243 0.5000 0.0841 (multiplicity 2)
P 0.1807 0.1861 0.1158 (multiplicity 4)
O 0.0577 0.0000 0.4480 (multiplicity 2)
O 0.1690 0.3411 0.4251 (multiplicity 4)
O 0.1766 0.2563 0.9874 (multiplicity 4)
O 0.1789 0.4402 0.0273 (multiplicity 4)
O 0.1917 0.1897 0.4033 (multiplicity 4)
O 0.3424 0.0000 0.8965 (multiplicity 2)
O 0.3751 0.1494 0.0029 (multiplicity 4)
O 0.4598 0.0000 0.3608 (multiplicity 2)
O 0.4814 0.3512 0.0163 (multiplicity 4)